Tm2HfO5: theoretical powder diffractogram (Cu Kα (λ = 1.5418 Å)), based on the PBE geometry in Alexandria.

Top 10 peaks for 2θ from 10° to 80°, by intensity:
d 3.011, 2θ = 29.67°, I 1000, (0 1 3); d 3.041, 2θ = 29.37°, I 993, (2 0 3); d 1.849, 2θ = 49.29°, I 724, (0 2 0); d 2.632, 2θ = 34.06°, I 489, (2 1 0); d 1.579, 2θ = 58.45°, I 286, (2 2 3); d 2.598, 2θ = 34.53°, I 234, (0 0 6); d 1.592, 2θ = 57.94°, I 233, (4 1 3); d 1.875, 2θ = 48.56°, I 126, (4 0 0); d 1.568, 2θ = 58.89°, I 115, (0 1 9); d 1.572, 2θ = 58.72°, I 104, (2 0 9)

Cell and atoms:
Unit cell a=7.500 b=3.695 c=15.587 alpha=90.00 beta=90.00 gamma=90.00
Space group Pnma (No. 62)
Asymmetric unit:
1 Tm 0.090 0.250 0.089 (multiplicity 4)
2 Tm 0.134 0.250 0.740 (multiplicity 4)
3 Hf 0.129 0.250 0.429 (multiplicity 4)
4 O 0.085 0.750 0.657 (multiplicity 4)
5 O 0.097 0.750 0.471 (multiplicity 4)
6 O 0.105 0.750 0.181 (multiplicity 4)
7 O 0.137 0.750 0.006 (multiplicity 4)
8 O 0.188 0.750 0.832 (multiplicity 4)